The following is a theoretical X-ray diffraction stick pattern of SrSi2Hg2. It was derived from a cell relaxed with PBE, using Cu Kα (weighted mean of Kα1 and Kα2).
Peak positions follow from Bragg's law for the DFT cell and can differ from measured ones.

Cell and atoms:
```
data_SrSi2Hg2
_chemical_formula_sum 'Sr2 Si4 Hg4'
_cell_length_a 4.5345
_cell_length_b 4.5345
_cell_length_c 11.6179
_cell_angle_alpha 90.00
_cell_angle_beta 90.00
_cell_angle_gamma 90.00
_symmetry_space_group_name_H-M 'I 4/m m m'
_symmetry_Int_Tables_number 139
_symmetry_space_group_name_Hall '-I 4 2'
loop_
_atom_site_label
_atom_site_fract_x
_atom_site_fract_y
_atom_site_fract_z
Sr1 0.0000 0.0000 0.0000
Si1 0.0000 0.5000 0.2500
Hg1 0.0000 0.0000 0.3791
```

Top 12 peaks for 2θ from 10° to 80°, sorted by position:
d [Å]  intensity  (hkl)
4.224  795  1 0 1
3.206  942  1 1 0
2.945  1000  1 0 3
2.807  202  1 1 2
2.267  595  2 0 0
2.153  466  1 1 4
2.068  502  1 0 5
1.998  230  2 1 1
1.796  482  2 1 3
1.603  204  2 2 0
1.528  386  2 1 5
1.286  211  3 1 4

The following is a theoretical X-ray diffraction stick pattern of Ta2SiHg. It was derived from a cell relaxed with PBE, using Cu Kα (weighted mean of Kα1 and Kα2).
Peak positions follow from Bragg's law for the DFT cell and can differ from measured ones.

Cell and atoms:
```
data_Ta2SiHg
_chemical_formula_sum 'Ta2 Si1 Hg1'
_cell_length_a 2.8639
_cell_length_b 3.1775
_cell_length_c 7.6735
_cell_angle_alpha 90.00
_cell_angle_beta 90.00
_cell_angle_gamma 90.00
_symmetry_space_group_name_H-M 'P m m m'
_symmetry_Int_Tables_number 47
_symmetry_space_group_name_Hall '-P 2 2'
loop_
_atom_site_label
_atom_site_fract_x
_atom_site_fract_y
_atom_site_fract_z
Ta1 0.0000 0.0000 0.2111
Si1 0.5000 0.5000 0.0000
Hg1 0.5000 0.5000 0.5000
```

Top 12 peaks for 2θ from 10° to 80°, sorted by position:
d [Å]  intensity  (hkl)
7.674  158  0 0 1
2.936  366  0 1 1
2.683  290  1 0 1
2.558  322  0 0 3
2.447  1000  0 1 2
2.295  833  1 0 2
2.127  775  1 1 0
1.636  340  1 1 3
1.589  156  0 2 0
1.425  233  1 1 4
1.306  290  1 2 2
1.236  238  2 1 2

The following is a theoretical X-ray diffraction stick pattern of Si4TcHg. It was derived from a cell relaxed with PBE, using Cu Kα (weighted mean of Kα1 and Kα2).
Peak positions follow from Bragg's law for the DFT cell and can differ from measured ones.

Cell and atoms:
```
data_Si4TcHg
_chemical_formula_sum 'Si16 Tc4 Hg4'
_cell_length_a 7.1842
_cell_length_b 7.1842
_cell_length_c 7.1842
_cell_angle_alpha 90.00
_cell_angle_beta 90.00
_cell_angle_gamma 90.00
_symmetry_space_group_name_H-M 'F -4 3 m'
_symmetry_Int_Tables_number 216
_symmetry_space_group_name_Hall 'F -4 2 3'
loop_
_atom_site_label
_atom_site_fract_x
_atom_site_fract_y
_atom_site_fract_z
Si1 0.1236 0.1236 0.1236
Tc1 0.2500 0.2500 0.7500
Hg1 0.0000 0.0000 0.5000
```

Top 12 peaks for 2θ from 10° to 80°, sorted by position:
d [Å]  intensity  (hkl)
4.148  652  1 1 1
3.592  123  2 0 0
2.540  924  2 2 0
2.166  1000  3 1 1
2.074  86  2 2 2
1.796  66  4 0 0
1.648  169  3 3 1
1.606  53  4 2 0
1.466  339  4 2 2
1.383  319  5 1 1
1.270  198  4 4 0
1.214  124  5 3 1